# 1
Simulated X-ray powder pattern of Pm3Y2Zn2 for Cu Kα (weighted mean of Kα1 and Kα2), from a crystal structure in Alexandria, relaxed with GGA-PBE.
Lines closer than 0.1° are merged.

Lattice parameters (Å, degrees): 3.6521 3.6521 29.7577 90.00 90.00 90.00
Space group I4/mmm (No. 139)
Asymmetric unit:
Pm1 0.0000 0.0000 0.0000
Pm2 0.0000 0.0000 0.1215
Y1 0.0000 0.0000 0.2911
Zn1 0.0000 0.0000 0.4389

Largest 10 diffraction maxima, sorted by position, 2θ from 10° to 90°:
| index | two_theta | I (rel.) |
| --- | --- | --- |
| 1 0 1 | 24.6 | 16 |
| 1 0 5 | 28.7 | 15 |
| 1 0 7 | 32.3 | 100 |
| 1 1 0 | 34.7 | 62 |
| 1 0 9 | 36.7 | 28 |
| 2 0 0 | 49.9 | 22 |
| 1 0 17 | 58.5 | 10 |
| 2 1 7 | 60.7 | 32 |
| 2 1 9 | 63.5 | 11 |
| 3 1 0 | 83.8 | 10 |

---

# 2
Simulated X-ray powder pattern of Pm5YZn6 for Cu Kα (weighted mean of Kα1 and Kα2), from a crystal structure in Alexandria, relaxed with GGA-PBE.
Lines closer than 0.1° are merged.

Lattice parameters (Å, degrees): 5.1439 7.2992 8.1455 90.00 108.21 90.00
Space group P2/m (No. 10)
Asymmetric unit:
Pm1 0.0000 0.0000 0.0000
Pm2 0.3322 0.0000 0.6641
Pm3 0.3340 0.5000 0.6680
Y1 0.0000 0.5000 0.0000
Zn1 0.1643 0.2530 0.3286
Zn2 0.5000 0.2550 0.0000

Largest 10 diffraction maxima, sorted by position, 2θ from 10° to 90°:
| index | two_theta | I (rel.) |
| --- | --- | --- |
| 1 0 1 | 24.4 | 15 |
| 1 2 1 | 34.8 | 100 |
| 2 0 -1 | 34.9 | 20 |
| 2 0 2 | 50.0 | 14 |
| 2 0 -4 | 50.2 | 7 |
| 2 4 -1 | 62.3 | 21 |
| 3 2 0 | 62.4 | 14 |
| 3 2 -3 | 62.6 | 7 |
| 2 4 2 | 73.4 | 7 |
| 3 2 3 | 83.8 | 11 |

---

# 3
Simulated X-ray powder pattern of Pm5Y4Zn for Cu Kα (weighted mean of Kα1 and Kα2), from a crystal structure in Alexandria, relaxed with GGA-PBE.
Lines closer than 0.1° are merged.

Lattice parameters (Å, degrees): 3.6370 3.6370 23.9573 90.00 90.00 90.00
Space group P4/mmm (No. 123)
Asymmetric unit:
Pm1 0.0000 0.0000 0.0000
Pm2 0.0000 0.0000 0.2112
Pm3 0.0000 0.0000 0.4243
Y1 0.5000 0.5000 0.1053
Y2 0.5000 0.5000 0.3160
Zn1 0.5000 0.5000 0.5000

Largest 10 diffraction maxima, sorted by position, 2θ from 10° to 90°:
| index | two_theta | I (rel.) |
| --- | --- | --- |
| 1 0 4 | 28.7 | 11 |
| 1 0 5 | 30.9 | 100 |
| 0 0 9 | 33.7 | 9 |
| 1 1 0 | 34.9 | 45 |
| 1 1 9 | 49.3 | 12 |
| 2 0 0 | 50.2 | 16 |
| 1 1 10 | 52.2 | 11 |
| 1 0 14 | 59.7 | 13 |
| 2 1 5 | 60.1 | 29 |
| 2 1 14 | 81.7 | 11 |

---

# 4
Simulated X-ray powder pattern of Pm3YZn2 for Cu Kα (weighted mean of Kα1 and Kα2), from a crystal structure in Alexandria, relaxed with GGA-PBE.
Lines closer than 0.1° are merged.

Lattice parameters (Å, degrees): 5.1603 9.3267 6.8058 90.00 90.00 90.00
Space group Pmc2_1 (No. 26)
Asymmetric unit:
Pm1 0.0000 0.0574 0.0000
Pm2 0.0000 0.3312 0.3377
Pm3 0.5000 0.1737 0.6776
Y1 0.5000 0.4440 0.0227
Zn1 0.0000 0.3496 0.7892
Zn2 0.5000 0.1542 0.2301

Largest 10 diffraction maxima, sorted by position, 2θ from 10° to 90°:
| index | two_theta | I (rel.) |
| --- | --- | --- |
| 1 2 1 | 28.9 | 62 |
| 1 0 2 | 31.5 | 46 |
| 0 2 2 | 32.6 | 35 |
| 1 1 2 | 33.0 | 99 |
| 1 3 0 | 33.7 | 100 |
| 2 0 0 | 34.8 | 70 |
| 0 3 2 | 39.3 | 22 |
| 2 2 2 | 48.4 | 23 |
| 2 1 3 | 54.8 | 22 |
| 1 4 3 | 59.6 | 26 |

---

# 5
Simulated X-ray powder pattern of Pm4YZn4 for Cu Kα (weighted mean of Kα1 and Kα2), from a crystal structure in Alexandria, relaxed with GGA-PBE.
Lines closer than 0.1° are merged.

Lattice parameters (Å, degrees): 8.8142 8.8142 6.3650 90.00 90.00 90.00
Space group P4_2/n (No. 86, origin choice 2)
Asymmetric unit:
Pm1 0.0291 0.6556 0.1463
Y1 0.2500 0.2500 0.2500
Zn1 0.0258 0.6342 0.6066

Largest 10 diffraction maxima, sorted by position, 2θ from 10° to 90°:
| index | two_theta | I (rel.) |
| --- | --- | --- |
| 2 1 1 | 26.6 | 50 |
| 1 0 2 | 29.8 | 44 |
| 1 3 0 | 32.1 | 100 |
| 1 2 2 | 36.3 | 56 |
| 4 2 0 | 46.1 | 30 |
| 3 2 2 | 46.9 | 35 |
| 4 1 2 | 51.5 | 21 |
| 5 0 1 | 54.0 | 13 |
| 2 5 2 | 64.0 | 16 |
| 1 3 4 | 67.8 | 14 |

---

# 6
Simulated X-ray powder pattern of Pm6Y8Zr for Cu Kα (weighted mean of Kα1 and Kα2), from a crystal structure in Alexandria, relaxed with GGA-PBE.
Lines closer than 0.1° are merged.

Lattice parameters (Å, degrees): 9.1003 9.1003 20.6840 90.00 90.00 120.00
Space group R-3 (No. 148, hexagonal axes)
Asymmetric unit:
Pm1 0.0681 0.2529 0.2089
Y1 0.0000 0.0000 0.0770
Y2 0.0840 0.5596 0.3049
Zr1 0.0000 0.0000 0.5000

Largest 10 diffraction maxima, sorted by position, 2θ from 10° to 90°:
| index | two_theta | I (rel.) |
| --- | --- | --- |
| 3 -1 1 | 30.3 | 40 |
| 3 -2 2 | 31.2 | 100 |
| 2 0 5 | 31.4 | 64 |
| 1 0 7 | 32.4 | 47 |
| 1 1 6 | 32.6 | 19 |
| 2 1 4 | 34.8 | 19 |
| 0 3 3 | 36.6 | 26 |
| 0 3 9 | 52.9 | 17 |
| 5 -1 3 | 55.0 | 25 |
| 5 -2 7 | 60.0 | 16 |